1.
Calculated powder XRD pattern
Compound: Tl4NiI6
Radiation: CuKα
Structure: a DFT-relaxed cell (PBE, Alexandria)
Intensities are scaled so that the largest is 100.

Structural model:
```
Tl4NiI6
1.0
9.227 0.000 0.000
0.000 9.227 0.000
0.000 0.000 10.049
Tl Ni I
8 2 12
Cartesian
1.393 3.220 2.512
1.393 3.220 7.537
3.220 7.833 2.512
3.220 7.833 7.537
6.007 1.393 2.512
6.007 1.393 7.537
7.833 6.007 2.512
7.833 6.007 7.537
0.000 0.000 0.000
4.613 4.613 5.025
0.000 0.000 2.740
0.000 0.000 7.310
1.192 6.624 0.000
2.011 5.806 5.025
2.603 1.192 0.000
3.421 2.011 5.025
4.613 4.613 2.285
4.613 4.613 7.764
5.806 7.216 5.025
6.624 8.034 0.000
7.216 3.421 5.025
8.034 2.603 0.000
```

Principal peaks in the range 5 to 70 degrees two-theta, by angle:
- 13.0 deg, rel. 8
- 17.7 deg, rel. 9
- 21.5 deg, rel. 9
- 28.0 deg, rel. 100
- 30.6 deg, rel. 37
- 35.6 deg, rel. 14
- 35.7 deg, rel. 19
- 43.9 deg, rel. 9
- 44.3 deg, rel. 10
- 47.8 deg, rel. 20
- 57.8 deg, rel. 9
- 59.6 deg, rel. 19

2.
Calculated powder XRD pattern
Compound: PrHo7Tm12
Radiation: CuKα
Structure: a DFT-relaxed cell (PBE, Alexandria)
Intensities are scaled so that the largest is 100.

Structural model:
```
PrHo7Tm12
1.0
5.961 3.441 5.183
-5.961 3.441 5.183
0.000 -6.883 5.183
Pr Ho Tm
1 7 12
Cartesian
0.000 0.000 0.000
-5.223 0.494 6.459
-3.039 -4.276 9.091
2.183 -4.770 6.459
0.000 0.000 7.775
-2.183 4.770 9.091
3.039 4.276 6.459
5.223 -0.494 9.091
-1.958 -0.509 4.622
-3.156 -0.991 8.509
-0.720 -3.228 7.041
1.420 -1.441 4.622
-2.436 2.238 7.041
0.538 1.950 4.622
-0.538 -1.950 10.928
2.436 -2.238 8.509
-1.420 1.441 10.928
0.720 3.228 8.509
3.156 0.991 7.041
1.958 0.509 10.928
```

Principal peaks in the range 5 to 70 degrees two-theta, by angle:
- 30.0 deg, rel. 38
- 31.2 deg, rel. 30
- 31.8 deg, rel. 100
- 32.5 deg, rel. 50
- 33.3 deg, rel. 50
- 33.6 deg, rel. 26
- 37.9 deg, rel. 12
- 52.6 deg, rel. 14
- 53.9 deg, rel. 15
- 55.4 deg, rel. 16
- 55.6 deg, rel. 21
- 58.6 deg, rel. 14

3.
Calculated powder XRD pattern
Compound: Ti3WC3N
Radiation: CuKα
Structure: a DFT-relaxed cell (PBE, Alexandria)
Intensities are scaled so that the largest is 100.

Structural model:
```
Ti3WC3N
1.0
1.527 0.882 10.087
-1.527 0.882 10.087
0.000 -1.763 10.087
Ti W C N
3 1 3 1
Cartesian
0.000 0.000 0.000
0.000 0.000 7.613
0.000 0.000 15.233
0.000 0.000 22.715
0.000 0.000 11.398
0.000 0.000 18.960
0.000 0.000 26.500
0.000 0.000 3.851
```

Principal peaks in the range 5 to 70 degrees two-theta, by angle:
- 8.8 deg, rel. 100
- 17.6 deg, rel. 23
- 26.5 deg, rel. 10
- 34.0 deg, rel. 14
- 34.4 deg, rel. 14
- 35.6 deg, rel. 19
- 36.0 deg, rel. 55
- 37.1 deg, rel. 13
- 40.0 deg, rel. 8
- 41.7 deg, rel. 62
- 60.1 deg, rel. 19
- 60.6 deg, rel. 19

4.
Calculated powder XRD pattern
Compound: Os2AuSe
Radiation: CuKα
Structure: a DFT-relaxed cell (PBE, Alexandria)
Intensities are scaled so that the largest is 100.

Structural model:
```
Os2AuSe
1.0
2.813 0.000 0.000
0.000 2.850 0.000
-0.023 0.000 8.756
Os Au Se
2 1 1
Cartesian
0.000 0.000 0.000
1.384 1.425 7.109
1.408 1.425 2.127
1.383 0.000 4.904
```

Principal peaks in the range 5 to 70 degrees two-theta, by angle:
- 10.1 deg, rel. 100
- 31.8 deg, rel. 16
- 37.7 deg, rel. 92
- 38.0 deg, rel. 53
- 41.2 deg, rel. 20
- 44.4 deg, rel. 20
- 44.7 deg, rel. 17
- 44.8 deg, rel. 17
- 45.3 deg, rel. 37
- 46.5 deg, rel. 33
- 50.1 deg, rel. 16
- 66.5 deg, rel. 12

5.
Calculated powder XRD pattern
Compound: TiNbW14
Radiation: CuKα
Structure: a DFT-relaxed cell (PBE, Alexandria)
Intensities are scaled so that the largest is 100.

Structural model:
```
TiNbW14
1.0
3.184 -4.509 0.000
3.184 4.509 0.000
0.000 0.000 9.036
Ti Nb W
1 1 14
Cartesian
0.000 0.000 0.000
3.184 0.000 0.000
0.000 0.000 4.518
1.592 2.254 0.000
1.592 2.254 4.518
1.588 0.000 2.286
1.588 0.000 6.750
3.184 2.264 2.258
3.184 2.264 6.778
1.592 -2.254 0.000
1.592 -2.254 4.518
3.184 0.000 4.518
3.184 -2.264 2.258
3.184 -2.264 6.778
4.779 0.000 2.286
4.779 0.000 6.750
```

Principal peaks in the range 5 to 70 degrees two-theta, by angle:
- 9.8 deg, rel. 3
- 19.7 deg, rel. 1
- 22.0 deg, rel. 1
- 28.0 deg, rel. 1
- 29.7 deg, rel. 1
- 34.5 deg, rel. 1
- 35.9 deg, rel. 1
- 40.0 deg, rel. 100
- 41.3 deg, rel. 1
- 57.8 deg, rel. 11
- 57.9 deg, rel. 6